K5As4: calculated X-ray powder pattern (Cu Kα (weighted mean of Kα1 and Kα2)), based on DFT lattice parameters and positions (PBE).

Peak list (6 most intense, 15 to 90 degrees two-theta, low angle first)
26.43°, d 3.372, I = 58; 27.36°, d 3.260, I = 56; 29.69°, d 3.009, I = 62; 30.29°, d 2.951, I = 76; 31.56°, d 2.834, I = 44; 34.26°, d 2.617, I = 100

Structure:
abc: 6.475 6.546 8.387
angles: 68.19 86.77 85.06
Fractional positions:
K 0.000 0.000 0.000
K 0.223 0.205 0.488
K 0.355 0.512 0.779
K 0.645 0.488 0.221
K 0.777 0.795 0.512
As 0.274 0.776 0.354
As 0.480 0.048 0.129
As 0.520 0.952 0.871
As 0.726 0.224 0.646